Simulated XRD peak list of Ti2O3 for Cu Kα, from DFT lattice parameters and positions (PBE).

Largest 10 diffraction maxima, by angle, 2θ from 10° to 90°:
Position (°2θ)  I/Imax
31.27  79
33.17  100
36.24  43
38.22  60
46.70  46
49.21  76
54.09  70
59.90  68
60.94  50
61.77  45

Structural model:
Unit cell a=7.664 b=3.004 c=13.332 alpha=90.00 beta=98.96 gamma=90.00
Atoms (fractional coordinates):
1 Ti 0.011 0.250 0.101
2 Ti 0.043 0.750 0.617
3 Ti 0.307 0.250 0.481
4 Ti 0.320 0.250 0.775
5 Ti 0.341 0.750 0.281
6 Ti 0.366 0.250 0.064
7 Ti 0.634 0.750 0.936
8 Ti 0.659 0.250 0.719
9 Ti 0.680 0.750 0.225
10 Ti 0.693 0.750 0.519
11 Ti 0.957 0.250 0.383
12 Ti 0.989 0.750 0.899
13 O 0.115 0.750 0.467
14 O 0.132 0.250 0.972
15 O 0.140 0.750 0.785
16 O 0.190 0.250 0.324
17 O 0.215 0.750 0.133
18 O 0.230 0.250 0.625
19 O 0.447 0.250 0.922
20 O 0.450 0.750 0.424
21 O 0.492 0.250 0.234
22 O 0.508 0.750 0.766
23 O 0.550 0.250 0.576
24 O 0.553 0.750 0.078
25 O 0.770 0.750 0.375
26 O 0.785 0.250 0.867
27 O 0.810 0.750 0.676
28 O 0.860 0.250 0.215
29 O 0.868 0.750 0.028
30 O 0.885 0.250 0.533

***

Simulated XRD peak list of TiO2 for Cu Kα, from DFT lattice parameters and positions (PBE).

Largest 10 diffraction maxima, by angle, 2θ from 10° to 90°:
Position (°2θ)  I/Imax
17.33  71
20.45  100
31.75  36
32.20  56
41.67  33
42.64  29
45.44  22
49.84  22
63.78  16
64.01  28

Structural model:
Unit cell a=5.018 b=5.018 c=10.235 alpha=90.00 beta=90.00 gamma=145.83
Atoms (fractional coordinates):
1 Ti 0.133 0.867 0.583
2 Ti 0.133 0.867 0.917
3 Ti 0.867 0.133 0.083
4 Ti 0.867 0.133 0.417
5 O 0.066 0.934 0.750
6 O 0.246 0.754 0.103
7 O 0.246 0.754 0.397
8 O 0.500 0.500 0.000
9 O 0.500 0.500 0.500
10 O 0.754 0.246 0.603
11 O 0.754 0.246 0.897
12 O 0.934 0.066 0.250

***

Simulated XRD peak list of TiO2 for Cu Kα, from DFT lattice parameters and positions (PBE).

Largest 7 diffraction maxima, by angle, 2θ from 10° to 90°:
Position (°2θ)  I/Imax
32.03  100
37.15  4
53.55  81
63.78  34
66.98  2
79.16  10
87.94  13

Structural model:
Unit cell a=3.422 b=3.422 c=3.422 alpha=60.00 beta=60.00 gamma=60.00
Atoms (fractional coordinates):
1 Ti 0.000 0.000 0.000
2 O 0.250 0.250 0.250
3 O 0.750 0.750 0.750

***

Simulated XRD peak list of TiO2 for Cu Kα, from DFT lattice parameters and positions (PBE).

Largest 10 diffraction maxima, by angle, 2θ from 10° to 90°:
Position (°2θ)  I/Imax
25.79  61
27.81  100
30.91  47
34.83  34
36.00  19
42.02  26
53.22  22
54.17  34
54.89  46
65.37  20

Structural model:
Unit cell a=4.610 b=5.566 c=14.968 alpha=90.00 beta=90.00 gamma=90.00
Atoms (fractional coordinates):
1 Ti 0.000 0.036 0.250
2 Ti 0.000 0.964 0.750
3 Ti 0.002 0.350 0.083
4 Ti 0.002 0.650 0.583
5 Ti 0.498 0.150 0.583
6 Ti 0.498 0.850 0.083
7 Ti 0.500 0.464 0.750
8 Ti 0.500 0.536 0.250
9 Ti 0.502 0.150 0.917
10 Ti 0.502 0.850 0.417
11 Ti 0.998 0.350 0.417
12 Ti 0.998 0.650 0.917
13 O 0.206 0.368 0.530
14 O 0.206 0.632 0.030
15 O 0.211 0.087 0.363
16 O 0.211 0.913 0.863
17 O 0.225 0.334 0.196
18 O 0.225 0.666 0.696
19 O 0.275 0.166 0.696
20 O 0.275 0.834 0.196
21 O 0.289 0.413 0.863
22 O 0.289 0.587 0.363
23 O 0.294 0.132 0.030
24 O 0.294 0.868 0.530
25 O 0.706 0.132 0.470
26 O 0.706 0.868 0.970
27 O 0.711 0.413 0.637
28 O 0.711 0.587 0.137
29 O 0.725 0.166 0.804
30 O 0.725 0.834 0.304
31 O 0.775 0.334 0.304
32 O 0.775 0.666 0.804
33 O 0.789 0.087 0.137
34 O 0.789 0.913 0.637
35 O 0.794 0.368 0.970
36 O 0.794 0.632 0.470

***

Simulated XRD peak list of TiO2 for Cu Kα, from DFT lattice parameters and positions (PBE).

Largest 10 diffraction maxima, by angle, 2θ from 10° to 90°:
Position (°2θ)  I/Imax
33.62  91
34.61  82
44.64  54
49.02  100
58.99  26
60.12  50
60.76  60
69.64  21
70.68  13
89.23  29

Structural model:
Unit cell a=5.331 b=5.331 c=3.132 alpha=90.00 beta=90.00 gamma=120.00
Atoms (fractional coordinates):
1 Ti 0.000 0.000 0.000
2 Ti 0.333 0.667 0.500
3 Ti 0.667 0.333 0.500
4 O 0.000 0.263 0.500
5 O 0.000 0.602 0.000
6 O 0.263 0.000 0.500
7 O 0.398 0.398 0.000
8 O 0.602 0.000 0.000
9 O 0.737 0.737 0.500

***

Simulated XRD peak list of TiO2 for Cu Kα, from DFT lattice parameters and positions (PBE).

Largest 10 diffraction maxima, by angle, 2θ from 10° to 90°:
Position (°2θ)  I/Imax
25.38  14
26.01  20
29.67  100
33.49  51
35.82  16
47.57  21
52.12  18
53.36  14
53.49  23
58.31  15

Structural model:
Unit cell a=4.855 b=4.914 c=5.093 alpha=90.00 beta=100.12 gamma=90.00
Atoms (fractional coordinates):
1 Ti 0.223 0.056 0.284
2 Ti 0.223 0.444 0.784
3 Ti 0.777 0.556 0.216
4 Ti 0.777 0.944 0.716
5 O 0.052 0.742 0.538
6 O 0.052 0.758 0.038
7 O 0.437 0.177 0.647
8 O 0.437 0.323 0.147
9 O 0.563 0.677 0.853
10 O 0.563 0.823 0.353
11 O 0.948 0.242 0.962
12 O 0.948 0.258 0.462